Mn6CrGe2N: simulated XRD peak list (a wavelength of 1.5418 Å), based on a DFT-relaxed cell (GGA-PBE, Alexandria).
Neutral-atom scattering factors, no anomalous dispersion.

Cell and atoms:
```
data_Mn6CrGe2N
_chemical_formula_sum 'Mn6 Cr1 Ge2 N1'
_cell_length_a 4.151
_cell_length_b 4.151
_cell_length_c 8.279
_cell_angle_alpha 90.00
_cell_angle_beta 90.00
_cell_angle_gamma 90.00
_space_group_name_H-M_alt 'P 4/m m m'
_space_group_IT_number 123
_space_group_name_Hall '-P 4 2'
loop_
_atom_site_label
_atom_site_type_symbol
_atom_site_fract_x
_atom_site_fract_y
_atom_site_fract_z
_atom_site_occupancy
Mn1 Mn 0.000 0.000 0.228 1
Mn2 Mn 0.000 0.500 0.000 1
Mn3 Mn 0.000 0.500 0.500 1
Cr1 Cr 0.000 0.000 0.500 1
Ge1 Ge 0.500 0.500 0.257 1
N1 N 0.000 0.000 0.000 1
```

Peak list (6 most intense, 15 to 90 degrees two-theta, most intense first)
2θ/deg	intensity
37.6	100
43.6	57
63.5	32
43.7	26
76.1	23
30.5	18